Na2TlCd2Hg2: simulated powder diffractogram (Cu Kα, 1.54184 Å), based on a cell relaxed with PBE.

Largest 6 diffraction maxima, low angle first, 2θ from 10° to 80°:
- 2θ 11.27, I 21
- 2θ 21.34, I 19
- 2θ 33.38, I 100
- 2θ 34.91, I 91
- 2θ 49.08, I 34
- 2θ 61.63, I 34

Structural model:
a b c (Å): 8.3923 8.3923 8.3923
angles (deg): 35.67 35.67 35.67
Sites, in units of the cell vectors:
Na  0.1386  0.1386  0.1386
Na  0.8614  0.8614  0.8614
Tl  0.0000  0.0000  0.0000
Cd  0.2796  0.2796  0.2796
Cd  0.7204  0.7204  0.7204
Hg  0.4283  0.4283  0.4283
Hg  0.5717  0.5717  0.5717

=====

NdHo5Er: simulated powder diffractogram (Cu Kα, 1.54184 Å), based on a cell relaxed with PBE.

Largest 6 diffraction maxima, low angle first, 2θ from 10° to 80°:
- 2θ 30.96, I 73
- 2θ 31.78, I 35
- 2θ 31.92, I 71
- 2θ 32.05, I 100
- 2θ 32.75, I 45
- 2θ 33.30, I 34

Structural model:
a b c (Å): 9.2540 3.5875 13.8348
angles (deg): 90.00 103.51 90.00
Sites, in units of the cell vectors:
Nd  0.1044  0.2500  0.1243
Nd  0.8956  0.7500  0.8757
Ho  0.0020  0.7500  0.3762
Ho  0.2052  0.2500  0.8812
Ho  0.3269  0.2500  0.5095
Ho  0.3491  0.7500  0.7228
Ho  0.4159  0.7500  0.0793
Ho  0.5841  0.2500  0.9207
Ho  0.6509  0.2500  0.2772
Ho  0.6731  0.7500  0.4905
Ho  0.7948  0.7500  0.1188
Ho  0.9980  0.2500  0.6238
Er  0.3452  0.7500  0.3059
Er  0.6548  0.2500  0.6941